Computed X-ray powder pattern of SrCuNiH6 for CuKα, from a PBE-relaxed structure.
Neutral-atom scattering factors, no anomalous dispersion.

The 8 most intense peaks (2θ = 10–90°), low angle first:
(1 0 1), 2θ = 30.03°, intensity 100; (0 0 2), 2θ = 39.59°, intensity 15; (1 1 0), 2θ = 39.71°, intensity 46; (2 0 1), 2θ = 50.57°, intensity 22; (1 1 2), 2θ = 57.32°, intensity 31; (1 0 3), 2θ = 65.98°, intensity 10; (2 1 1), 2θ = 66.14°, intensity 19; (2 2 0), 2θ = 85.52°, intensity 14

Structure:
```
data_SrCuNiH6
_symmetry_space_group_name_H-M 'P -6 m 2'
_symmetry_Int_Tables_number 187
_symmetry_space_group_name_Hall 'P -6 2'
_cell_length_a 4.5400
_cell_length_b 4.5400
_cell_length_c 4.5532
_cell_angle_alpha 90.00
_cell_angle_beta 90.00
_cell_angle_gamma 120.00
loop_
_atom_site_label
_atom_site_type_symbol
_atom_site_fract_x
_atom_site_fract_y
_atom_site_fract_z
_atom_site_occupancy
Sr1 Sr 0.0000 0.0000 0.0000 1
Cu1 Cu 0.3333 0.6667 0.5000 1
Ni1 Ni 0.6667 0.3333 0.5000 1
H1 H 0.5087 0.0173 0.2747 1
```